[1]
For Sm8Y4Tm, a crystal structure in Alexandria, relaxed with PBE gives the theoretical XRD peak list in this record (Cu Kα (λ = 1.5418 Å)).

Structural model:
```
data_Sm8Y4Tm
_cell_length_a 11.1127
_cell_length_b 11.1127
_cell_length_c 13.5567
_cell_angle_alpha 90.00
_cell_angle_beta 90.00
_cell_angle_gamma 120.00
_symmetry_space_group_name_H-M 'R -3 m'
_symmetry_Int_Tables_number 166
_symmetry_space_group_name_Hall '-R 3 2"'
loop_
_atom_site_label
_atom_site_fract_x
_atom_site_fract_y
_atom_site_fract_z
Sm1 0.0000 0.0000 0.2414
Sm2 0.0108 0.5054 0.7466
Y1 0.0000 0.0000 0.0000
Y2 0.0000 0.5000 0.0000
Tm1 0.0000 0.0000 0.5000
```

Largest 10 diffraction maxima, low angle first, 2θ = 10–90°:
d [Å]	I/Imax
3.924	17.8
3.509	6.7
2.775	100.0
1.962	18.0
1.603	27.9
1.598	9.1
1.389	5.6
1.385	5.5
1.242	7.7
1.240	7.6

[2]
For Sm7YTm12, a crystal structure in Alexandria, relaxed with PBE gives the theoretical XRD peak list in this record (Cu Kα (λ = 1.5418 Å)).

Structural model:
```
data_Sm7YTm12
_cell_length_a 11.8623
_cell_length_b 11.8623
_cell_length_c 16.1321
_cell_angle_alpha 90.00
_cell_angle_beta 90.00
_cell_angle_gamma 120.00
_symmetry_space_group_name_H-M 'R -3'
_symmetry_Int_Tables_number 148
_symmetry_space_group_name_Hall '-R 3'
loop_
_atom_site_label
_atom_site_fract_x
_atom_site_fract_y
_atom_site_fract_z
Sm1 0.0000 0.0000 0.0000
Sm2 0.0532 0.8637 0.2911
Y1 0.0000 0.0000 0.5000
Tm1 0.0213 0.5732 0.2205
Tm2 0.0499 0.4633 0.5835
```

Largest 10 diffraction maxima, low angle first, 2θ = 10–90°:
d [Å]	I/Imax
3.078	22.8
2.888	33.4
2.806	100.0
2.797	46.9
2.732	25.7
2.687	51.8
2.449	14.3
1.790	18.1
1.645	15.2
1.559	14.3

[3]
For Sm9Y3Tm2, a crystal structure in Alexandria, relaxed with PBE gives the theoretical XRD peak list in this record (Cu Kα (λ = 1.5418 Å)).

Structural model:
```
data_Sm9Y3Tm2
_cell_length_a 6.2289
_cell_length_b 7.2042
_cell_length_c 11.3400
_cell_angle_alpha 71.49
_cell_angle_beta 79.63
_cell_angle_gamma 73.20
_symmetry_space_group_name_H-M 'P 1'
_symmetry_Int_Tables_number 1
loop_
_symmetry_equiv_pos_as_xyz
'x,y,z'
loop_
_atom_site_label
_atom_site_fract_x
_atom_site_fract_y
_atom_site_fract_z
Sm1 0.0000 0.0000 0.0000
Sm2 0.0003 0.4996 0.9997
Sm3 0.1391 0.3580 0.7141
Sm4 0.2872 0.7126 0.4304
Sm5 0.2878 0.2127 0.4307
Sm6 0.5702 0.9296 0.8558
Sm7 0.5707 0.4291 0.8554
Sm8 0.8572 0.1405 0.2897
Sm9 0.8573 0.6406 0.2891
Y1 0.1385 0.8580 0.7142
Y2 0.4281 0.0706 0.1446
Y3 0.4287 0.5706 0.1440
Tm1 0.7135 0.7853 0.5716
Tm2 0.7142 0.2854 0.5716
```

Largest 10 diffraction maxima, low angle first, 2θ = 10–90°:
d [Å]	I/Imax
2.935	100.0
2.546	33.9
2.533	16.7
1.800	12.0
1.796	23.8
1.535	28.5
1.529	7.0
1.529	7.0
1.468	6.1
1.165	10.1

[4]
For Sm4Y4Tm, a crystal structure in Alexandria, relaxed with PBE gives the theoretical XRD peak list in this record (Cu Kα (λ = 1.5418 Å)).

Structural model:
```
data_Sm4Y4Tm
_cell_length_a 10.7691
_cell_length_b 10.7691
_cell_length_c 5.0689
_cell_angle_alpha 90.00
_cell_angle_beta 90.00
_cell_angle_gamma 90.00
_symmetry_space_group_name_H-M 'I 4/m m m'
_symmetry_Int_Tables_number 139
_symmetry_space_group_name_Hall '-I 4 2'
loop_
_atom_site_label
_atom_site_fract_x
_atom_site_fract_y
_atom_site_fract_z
Sm1 0.0000 0.3328 0.0000
Y1 0.1657 0.1657 0.5000
Tm1 0.0000 0.0000 0.0000
```

Largest 10 diffraction maxima, low angle first, 2θ = 10–90°:
d [Å]	I/Imax
4.586	4.1
2.929	100.0
2.537	50.4
1.794	35.6
1.530	42.1
1.465	12.1
1.269	3.7
1.164	17.1
1.135	10.7
1.134	5.3